Entry 1:
Structure and simulated XRD peak list of ScTl3F8 (a structure optimized by DFT (PBE); CuKα).
Neutral-atom scattering factors, no anomalous dispersion.

The 10 most intense peaks (10 to 80 degrees two-theta), low angle first:
index  two_theta  d [Å]  intensity
1 0 1  16.98  5.222  10
1 1 2  26.89  3.316  100
2 0 0  29.84  2.995  23
2 1 1  34.53  2.598  8
2 2 0  42.70  2.118  20
2 0 4  45.56  1.991  35
3 1 2  51.18  1.785  35
2 2 4  55.41  1.658  10
1 1 6  56.12  1.639  14
3 1 6  73.01  1.296  12

Crystal structure
Lattice parameters (Å, degrees): 5.989 5.989 10.663 90.00 90.00 90.00
Space group I4/mmm (No. 139)
Symmetry-distinct sites (fractional):
Sc 0.000 0.000 0.000 [2 per cell]
Tl 0.000 0.000 0.500 [2 per cell]
Tl 0.000 0.500 0.250 [4 per cell]
F 0.211 0.211 0.122 [16 per cell]



Entry 2:
Structure and simulated XRD peak list of TbHC3O6 (a structure optimized by DFT (PBE); CuKα).
Neutral-atom scattering factors, no anomalous dispersion.

The 10 most intense peaks (10 to 80 degrees two-theta), low angle first:
index  two_theta  d [Å]  intensity
0 1 1  15.74  5.631  100
0 2 0  16.59  5.344  82
1 1 1  20.11  4.416  76
2 1 0  26.40  3.376  25
1 0 2  29.72  3.006  52
0 4 0  33.54  2.672  25
1 2 2  34.25  2.618  66
2 3 0  35.66  2.517  23
1 4 2  45.44  1.996  27
1 3 3  50.28  1.815  24

Crystal structure
Lattice parameters (Å, degrees): 7.116 10.687 6.625 90.00 90.00 90.00
Space group Pnma (No. 62)
Symmetry-distinct sites (fractional):
Tb 0.197 0.250 0.133 [4 per cell]
H 0.224 0.750 0.117 [4 per cell]
C 0.095 0.520 0.952 [8 per cell]
C 0.122 0.250 0.628 [4 per cell]
O 0.029 0.250 0.461 [4 per cell]
O 0.049 0.250 0.801 [4 per cell]
O 0.090 0.623 0.853 [8 per cell]
O 0.235 0.049 0.978 [8 per cell]



Entry 3:
Structure and simulated XRD peak list of BaCdGaF7 (a structure optimized by DFT (PBE); CuKα).
Neutral-atom scattering factors, no anomalous dispersion.

The 10 most intense peaks (10 to 80 degrees two-theta), low angle first:
index  two_theta  d [Å]  intensity
3 1 0  24.99  3.564  100
2 0 -4  26.29  3.390  24
2 0 4  26.88  3.317  21
1 1 -4  29.18  3.060  41
1 1 4  29.45  3.033  34
0 2 0  32.93  2.720  23
6 0 2  40.33  2.236  13
5 1 -4  42.65  2.120  28
2 2 4  43.00  2.103  14
3 1 -8  54.17  1.693  26

Crystal structure
Lattice parameters (Å, degrees): 14.155 5.441 15.236 90.00 91.50 90.00
Space group C2/c (No. 15)
Symmetry-distinct sites (fractional):
Ba 0.190 0.038 0.125 [8 per cell]
Cd 0.000 0.455 0.750 [4 per cell]
Cd 0.000 0.500 0.000 [4 per cell]
Ga 0.123 0.010 0.875 [8 per cell]
F 0.003 0.115 0.653 [8 per cell]
F 0.061 0.398 0.128 [8 per cell]
F 0.089 0.159 0.480 [8 per cell]
F 0.122 0.267 0.298 [8 per cell]
F 0.137 0.301 0.951 [8 per cell]
F 0.163 0.218 0.778 [8 per cell]
F 0.249 0.443 0.596 [8 per cell]



Entry 4:
Structure and simulated XRD peak list of Pm6Ni3Hg (a structure optimized by DFT (PBE); CuKα).
Neutral-atom scattering factors, no anomalous dispersion.

The 10 most intense peaks (10 to 80 degrees two-theta), low angle first:
index  two_theta  d [Å]  intensity
0 2 2  29.01  3.077  43
0 4 1  30.11  2.968  100
3 3 0  31.31  2.857  43
2 2 2  33.14  2.704  42
3 3 1  33.89  2.645  33
2 4 1  34.11  2.628  74
4 2 0  34.52  2.598  28
3 1 2  35.74  2.512  60
0 2 3  41.22  2.190  23
0 6 3  57.92  1.592  30

Crystal structure
Lattice parameters (Å, degrees): 11.318 13.121 6.969 90.00 90.00 90.00
Space group Cmc2_1 (No. 36)
Symmetry-distinct sites (fractional):
Pm 0.000 0.045 0.000 [4 per cell]
Pm 0.000 0.225 0.623 [4 per cell]
Pm 0.160 0.470 0.455 [8 per cell]
Pm 0.228 0.205 0.298 [8 per cell]
Ni 0.000 0.410 0.755 [4 per cell]
Ni 0.179 0.092 0.678 [8 per cell]
Hg 0.000 0.311 0.108 [4 per cell]



Entry 5:
Structure and simulated XRD peak list of Pm3Zn2Pt3 (a structure optimized by DFT (PBE); CuKα).
Neutral-atom scattering factors, no anomalous dispersion.

The 10 most intense peaks (10 to 80 degrees two-theta), low angle first:
index  two_theta  d [Å]  intensity
0 4 0  29.99  2.980  30
1 3 0  31.29  2.859  35
1 3 1  31.92  2.804  48
1 1 4  33.94  2.641  89
1 3 3  36.59  2.456  100
0 0 6  37.50  2.398  29
1 3 4  40.30  2.238  28
2 0 0  44.00  2.058  48
1 5 2  45.74  1.984  25
0 6 2  47.48  1.915  25

Crystal structure
Lattice parameters (Å, degrees): 4.116 11.920 14.389 90.00 90.00 90.00
Space group Cmcm (No. 63)
Symmetry-distinct sites (fractional):
Pm 0.000 0.078 0.108 [8 per cell]
Pm 0.000 0.346 0.250 [4 per cell]
Zn 0.000 0.226 0.584 [8 per cell]
Pt 0.000 0.338 0.750 [4 per cell]
Pt 0.000 0.397 0.047 [8 per cell]



Entry 6:
Structure and simulated XRD peak list of ThGaCu11 (a structure optimized by DFT (PBE); CuKα).
Neutral-atom scattering factors, no anomalous dispersion.

The 10 most intense peaks (10 to 80 degrees two-theta), low angle first:
index  two_theta  d [Å]  intensity
1 1 -2  29.68  3.010  24
1 3 -1  29.92  2.986  22
1 3 1  36.05  2.492  33
1 3 -2  36.61  2.455  28
1 1 2  41.14  2.194  31
0 4 2  41.97  2.153  100
2 2 0  42.34  2.135  40
1 5 0  42.62  2.121  33
1 5 -1  42.79  2.113  28
2 2 -2  43.00  2.103  45

Crystal structure
Lattice parameters (Å, degrees): 4.869 11.974 6.605 90.00 110.20 90.00
Space group C2/m (No. 12)
Symmetry-distinct sites (fractional):
Th 0.000 0.000 0.000 [2 per cell]
Ga 0.000 0.500 0.500 [2 per cell]
Cu 0.000 0.000 0.500 [2 per cell]
Cu 0.107 0.388 0.222 [8 per cell]
Cu 0.159 0.181 0.352 [8 per cell]
Cu 0.250 0.250 0.000 [4 per cell]



Entry 7:
Structure and simulated XRD peak list of BaCu2AgCl6 (a structure optimized by DFT (PBE); CuKα).
Neutral-atom scattering factors, no anomalous dispersion.

The 10 most intense peaks (10 to 80 degrees two-theta), low angle first:
index  two_theta  d [Å]  intensity
1 0 4  22.61  3.932  100
1 1 0  25.77  3.457  35
2 -1 3  28.84  3.096  24
0 2 4  34.54  2.596  27
1 1 6  36.66  2.451  17
0 1 8  37.63  2.390  24
2 1 4  43.59  2.076  32
3 0 0  45.44  1.996  31
3 -2 8  53.62  1.709  18
4 -3 4  58.31  1.582  15

Crystal structure
Lattice parameters (Å, degrees): 6.9145 6.9145 20.8567 90.00 90.00 120.00
Space group R-3 (No. 148, hexagonal axes)
Symmetry-distinct sites (fractional):
Ba 0.0000 0.0000 0.0000 [3 per cell]
Cu 0.0000 0.0000 0.2430 [6 per cell]
Ag 0.0000 0.0000 0.5000 [3 per cell]
Cl 0.0003 0.3624 0.0888 [18 per cell]



Entry 8:
Structure and simulated XRD peak list of Na5SiP3 (a structure optimized by DFT (PBE); CuKα).
Neutral-atom scattering factors, no anomalous dispersion.

The 10 most intense peaks (10 to 80 degrees two-theta), low angle first:
index  two_theta  d [Å]  intensity
2 1 1  32.57  2.749  81
2 1 -5  32.95  2.719  75
2 2 -2  33.21  2.698  28
1 2 2  33.68  2.661  75
1 2 -4  33.87  2.647  100
3 1 -3  36.02  2.494  29
1 3 -1  38.47  2.340  74
3 0 0  39.50  2.282  38
3 0 -6  39.97  2.256  36
0 0 6  41.18  2.192  76

Crystal structure
Lattice parameters (Å, degrees): 7.954 7.345 15.282 90.00 120.62 90.00
Space group P2_1/c (No. 14)
Symmetry-distinct sites (fractional):
Na 0.057 0.009 0.243 [4 per cell]
Na 0.243 0.529 0.582 [4 per cell]
Na 0.337 0.654 0.259 [4 per cell]
Na 0.341 0.163 0.918 [4 per cell]
Na 0.414 0.017 0.587 [4 per cell]
Si 0.011 0.138 0.583 [4 per cell]
P 0.020 0.179 0.435 [4 per cell]
P 0.258 0.742 0.421 [4 per cell]
P 0.297 0.229 0.720 [4 per cell]



Entry 9:
Structure and simulated XRD peak list of Mo5Ir4Rh2 (a structure optimized by DFT (PBE); CuKα).
Neutral-atom scattering factors, no anomalous dispersion.

The 10 most intense peaks (10 to 80 degrees two-theta), low angle first:
index  two_theta  d [Å]  intensity
0 4 1  38.55  2.335  32
1 7 0  39.20  2.298  45
3 2 0  40.12  2.248  59
1 4 1  40.74  2.215  100
2 6 0  40.95  2.204  34
2 1 1  41.74  2.164  18
2 2 1  42.78  2.114  55
2 3 1  44.48  2.037  42
3 2 1  52.24  1.751  21
0 0 2  67.03  1.396  19

Crystal structure
Lattice parameters (Å, degrees): 6.991 17.033 2.793 90.00 90.00 90.00
Space group Pbam (No. 55)
Symmetry-distinct sites (fractional):
Mo 0.000 0.000 0.000 [2 per cell]
Mo 0.134 0.438 0.000 [4 per cell]
Mo 0.229 0.209 0.000 [4 per cell]
Ir 0.078 0.855 0.500 [4 per cell]
Ir 0.212 0.572 0.500 [4 per cell]
Rh 0.041 0.308 0.500 [4 per cell]



Entry 10:
Structure and simulated XRD peak list of La3TbPb3 (a structure optimized by DFT (PBE); CuKα).
Neutral-atom scattering factors, no anomalous dispersion.

The 10 most intense peaks (10 to 80 degrees two-theta), low angle first:
index  two_theta  d [Å]  intensity
2 0 -1  22.26  3.993  19
1 3 -1  24.22  3.675  19
1 3 1  24.72  3.602  70
2 2 1  26.80  3.326  22
1 3 2  31.02  2.883  100
3 1 0  31.24  2.863  31
2 2 -2  31.39  2.850  89
3 1 -1  32.45  2.759  24
2 4 -2  39.06  2.306  20
0 6 0  39.77  2.267  28

Crystal structure
Lattice parameters (Å, degrees): 8.801 13.600 8.485 90.00 93.21 90.00
Space group C2/m (No. 12)
Symmetry-distinct sites (fractional):
La 0.000 0.163 0.000 [4 per cell]
La 0.000 0.229 0.500 [4 per cell]
La 0.116 0.500 0.862 [4 per cell]
Tb 0.233 0.500 0.420 [4 per cell]
Pb 0.055 0.000 0.282 [4 per cell]
Pb 0.182 0.327 0.203 [8 per cell]